No. 1
Theoretical X-ray powder pattern
Compound: Ca2SnS4
Radiation: copper Kα
Structure: a crystal structure in the Materials Project, relaxed with PBE

Cell and atoms:
a = 6.8311 Å, b = 6.9958 Å, c = 7.7926 Å
α = 90.00°, β = 107.03°, γ = 90.00°
Fractional coordinates of all 14 atoms:
1 Ca 0.2110 0.2500 0.0537
2 Ca 0.2235 0.2500 0.5540
3 Ca 0.7765 0.7500 0.4460
4 Ca 0.7890 0.7500 0.9463
5 Sn 0.2594 0.7500 0.8131
6 Sn 0.7406 0.2500 0.1869
7 S 0.0051 0.0037 0.7483
8 S 0.0051 0.4963 0.7483
9 S 0.4638 0.7500 0.6147
10 S 0.4685 0.7500 0.1149
11 S 0.5315 0.2500 0.8851
12 S 0.5362 0.2500 0.3853
13 S 0.9949 0.5037 0.2517
14 S 0.9949 0.9963 0.2517

Most intense lines, 10 to 80 degrees two-theta, by intensity:
17.4°, intensity 100
33.5°, intensity 79
33.3°, intensity 78
15.2°, intensity 75
25.5°, intensity 73
37.7°, intensity 50
29.0°, intensity 38
20.5°, intensity 37
46.6°, intensity 36
29.4°, intensity 35

***

No. 2
Theoretical X-ray powder pattern
Compound: LuAl3Fe7Si2
Radiation: copper Kα
Structure: a crystal structure in the Materials Project, relaxed with PBE

Cell and atoms:
a = 6.3966 Å, b = 6.3966 Å, c = 8.3892 Å
α = 130.70°, β = 130.70°, γ = 44.31°
Fractional coordinates of all 13 atoms:
1 Lu 0.0000 0.0000 0.0000
2 Al 0.3506 0.3506 0.3559
3 Al 0.6483 0.6483 0.6332
4 Al 0.9902 0.9902 0.6280
5 Fe 0.0031 0.4976 0.4977
6 Fe 0.2733 0.2733 0.7746
7 Fe 0.4964 0.4964 0.2112
8 Fe 0.4976 0.0031 0.4977
9 Fe 0.5075 0.5075 0.7765
10 Fe 0.7192 0.7192 0.2130
11 Fe 0.9967 0.9967 0.3420
12 Si 0.0015 0.5070 0.0015
13 Si 0.5070 0.0015 0.0015

Most intense lines, 10 to 80 degrees two-theta, by intensity:
43.0°, intensity 100
43.2°, intensity 88
30.2°, intensity 73
43.3°, intensity 66
14.9°, intensity 57
37.1°, intensity 39
30.1°, intensity 23
37.3°, intensity 22
33.7°, intensity 21
62.8°, intensity 19

***

No. 3
Theoretical X-ray powder pattern
Compound: AlCuF5
Radiation: copper Kα
Structure: a crystal structure in the Materials Project, relaxed with PBE

Cell and atoms:
a = 5.1608 Å, b = 5.1608 Å, c = 5.1608 Å
α = 139.25°, β = 105.38°, γ = 88.70°
Fractional coordinates of all 7 atoms:
1 Al 0.0000 0.0000 0.0000
2 Cu 0.5000 0.5000 0.0000
3 F 0.0000 0.5000 0.5000
4 F 0.2469 0.2469 0.0000
5 F 0.2921 0.0000 0.2921
6 F 0.7079 0.0000 0.7079
7 F 0.7531 0.7531 0.0000

Most intense lines, 10 to 80 degrees two-theta, by intensity:
28.6°, intensity 100
24.1°, intensity 95
28.5°, intensity 67
40.1°, intensity 62
50.6°, intensity 34
49.4°, intensity 33
50.8°, intensity 30
58.1°, intensity 24
53.8°, intensity 24
18.6°, intensity 22

***

No. 4
Theoretical X-ray powder pattern
Compound: SiTc
Radiation: copper Kα
Structure: a crystal structure in the Materials Project, relaxed with PBE

Cell and atoms:
a = 4.7851 Å, b = 4.7851 Å, c = 4.7851 Å
α = 90.00°, β = 90.00°, γ = 90.00°
Fractional coordinates of all 8 atoms:
1 Si 0.1552 0.3448 0.6552
2 Si 0.3448 0.6552 0.1552
3 Si 0.6552 0.1552 0.3448
4 Si 0.8448 0.8448 0.8448
5 Tc 0.1351 0.1351 0.1351
6 Tc 0.3649 0.8649 0.6351
7 Tc 0.6351 0.3649 0.8649
8 Tc 0.8649 0.6351 0.3649

Most intense lines, 10 to 80 degrees two-theta, by intensity:
42.2°, intensity 100
46.5°, intensity 48
26.3°, intensity 40
74.1°, intensity 26
32.4°, intensity 22
64.6°, intensity 13
71.0°, intensity 12
67.8°, intensity 7
61.3°, intensity 7
37.6°, intensity 3

***

No. 5
Theoretical X-ray powder pattern
Compound: Li3Nb4O12
Radiation: copper Kα
Structure: a crystal structure in the Materials Project, relaxed with PBE

Cell and atoms:
a = 9.8522 Å, b = 9.8522 Å, c = 9.8522 Å
α = 31.10°, β = 31.10°, γ = 31.10°
Fractional coordinates of all 19 atoms:
1 Li 0.0000 0.0000 0.0000
2 Li 0.2202 0.2202 0.2202
3 Li 0.7501 0.7501 0.7501
4 Nb 0.1108 0.1108 0.1108
5 Nb 0.3622 0.3622 0.3622
6 Nb 0.6139 0.6139 0.6139
7 Nb 0.8667 0.8667 0.8667
8 O 0.0545 0.9051 0.4871
9 O 0.1061 0.3492 0.7356
10 O 0.2344 0.6068 0.8593
11 O 0.3492 0.7356 0.1061
12 O 0.3626 0.9825 0.6030
13 O 0.4871 0.0545 0.9051
14 O 0.6030 0.3626 0.9825
15 O 0.6068 0.8593 0.2344
16 O 0.7356 0.1061 0.3492
17 O 0.8593 0.2344 0.6068
18 O 0.9051 0.4871 0.0545
19 O 0.9825 0.6030 0.3626

Most intense lines, 10 to 80 degrees two-theta, by intensity:
23.2°, intensity 100
32.1°, intensity 34
52.2°, intensity 25
33.9°, intensity 21
47.4°, intensity 19
54.7°, intensity 16
59.6°, intensity 13
41.5°, intensity 10
60.7°, intensity 10
76.3°, intensity 7